No. 1
Calculated XRD peak list
Compound: Er2Al5Ag3
Radiation: Cu Kα (λ = 1.5418 Å)
Structure: a crystal structure in Alexandria, relaxed with GGA-PBE
Intensities are scaled so that the largest is 100.

Main lines, in order of rising 2θ (15 to 90 degrees two-theta):
| h k l | 2θ/deg | I_rel |
| --- | --- | --- |
| 0 0 2 | 30.0 | 23 |
| 0 4 0 | 30.2 | 22 |
| 3 2 1 | 32.1 | 100 |
| 2 0 2 | 34.1 | 61 |
| 2 4 0 | 34.2 | 60 |
| 0 4 2 | 43.0 | 63 |
| 5 2 1 | 45.9 | 56 |
| 3 2 3 | 54.6 | 29 |

Crystal structure
a b c (Å): 11.1902 11.8557 5.9660
angles (deg): 90.00 90.00 90.00
Space group Ibam (No. 72)
One atom of each set of equivalent atoms:
1 Er 0.2447 0.1278 0.0000 x8
2 Al 0.0000 0.0000 0.2500 x4
3 Al 0.0000 0.2535 0.2500 x8
4 Al 0.1431 0.3813 0.0000 x8
5 Ag 0.0000 0.5000 0.2500 x4
6 Ag 0.1361 0.1270 0.5000 x8

No. 2
Calculated XRD peak list
Compound: Y7Ga2Te2
Radiation: Cu Kα (λ = 1.5418 Å)
Structure: a crystal structure in Alexandria, relaxed with GGA-PBE
Intensities are scaled so that the largest is 100.

Main lines, in order of rising 2θ (15 to 90 degrees two-theta):
| h k l | 2θ/deg | I_rel |
| --- | --- | --- |
| 1 1 2 | 28.6 | 53 |
| 1 4 1 | 33.1 | 97 |
| 0 3 3 | 33.3 | 100 |
| 1 0 3 | 35.0 | 15 |
| 1 2 3 | 37.1 | 28 |
| 2 0 0 | 42.2 | 33 |
| 0 7 3 | 51.3 | 15 |
| 2 3 3 | 54.7 | 21 |

Crystal structure
a b c (Å): 4.2841 15.0288 9.5919
angles (deg): 90.00 90.00 90.00
Space group Imm2 (No. 44)
One atom of each set of equivalent atoms:
1 Y 0.0000 0.0000 0.0000 x2
2 Y 0.0000 0.1293 0.4011 x4
3 Y 0.0000 0.3161 0.6116 x4
4 Y 0.0000 0.3578 0.2459 x4
5 Ga 0.0000 0.2331 0.9160 x4
6 Te 0.0000 0.0000 0.6553 x2
7 Te 0.0000 0.5000 0.7595 x2

No. 3
Calculated XRD peak list
Compound: NiPdBr6
Radiation: Cu Kα (λ = 1.5418 Å)
Structure: a crystal structure in Alexandria, relaxed with GGA-PBE
Intensities are scaled so that the largest is 100.

Main lines, in order of rising 2θ (15 to 90 degrees two-theta):
| h k l | 2θ/deg | I_rel |
| --- | --- | --- |
| 0 2 0 | 15.1 | 58 |
| 1 1 -1 | 18.4 | 51 |
| 1 3 -1 | 28.4 | 32 |
| 2 0 0 | 30.1 | 33 |
| 1 3 1 | 33.9 | 100 |
| 2 0 -2 | 33.9 | 51 |
| 2 4 0 | 43.4 | 21 |
| 3 3 -1 | 48.7 | 65 |

Crystal structure
a b c (Å): 6.3898 11.7145 6.3883
angles (deg): 90.00 111.54 90.00
Space group C2/m (No. 12)
One atom of each set of equivalent atoms:
1 Ni 0.0000 0.0000 0.0000 x2
2 Pd 0.0000 0.5000 0.5000 x2
3 Br 0.2367 0.0000 0.7630 x4
4 Br 0.2477 0.1445 0.2478 x8

No. 4
Calculated XRD peak list
Compound: Sm2AsPt6
Radiation: Cu Kα (λ = 1.5418 Å)
Structure: a crystal structure in Alexandria, relaxed with GGA-PBE
Intensities are scaled so that the largest is 100.

Main lines, in order of rising 2θ (15 to 90 degrees two-theta):
| h k l | 2θ/deg | I_rel |
| --- | --- | --- |
| 0 0 2 | 29.4 | 41 |
| 4 0 0 | 37.7 | 53 |
| 2 2 -1 | 38.0 | 100 |
| 2 2 1 | 41.4 | 79 |
| 4 0 -2 | 42.4 | 34 |
| 0 0 3 | 44.8 | 24 |
| 1 1 -3 | 46.5 | 17 |
| 6 2 -1 | 65.9 | 28 |

Crystal structure
a b c (Å): 9.8149 5.6904 6.2409
angles (deg): 90.00 103.26 90.00
Space group C2/m (No. 12)
One atom of each set of equivalent atoms:
1 Sm 0.1423 0.0000 0.3537 x4
2 As 0.0000 0.5000 0.5000 x2
3 Pt 0.1241 0.5000 0.1969 x4
4 Pt 0.1352 0.2434 0.8137 x8

No. 5
Calculated XRD peak list
Compound: Ac2Al3Cu5
Radiation: Cu Kα (λ = 1.5418 Å)
Structure: a crystal structure in Alexandria, relaxed with GGA-PBE
Intensities are scaled so that the largest is 100.

Main lines, in order of rising 2θ (15 to 90 degrees two-theta):
| h k l | 2θ/deg | I_rel |
| --- | --- | --- |
| 1 2 1 | 22.1 | 54 |
| 0 4 0 | 28.8 | 28 |
| 3 2 1 | 33.3 | 63 |
| 2 0 2 | 33.9 | 100 |
| 0 4 2 | 41.3 | 44 |
| 5 2 1 | 49.2 | 22 |
| 3 2 3 | 54.0 | 32 |
| 5 2 3 | 66.1 | 19 |

Crystal structure
a b c (Å): 10.2251 12.3664 6.1971
angles (deg): 90.00 90.00 90.00
Space group Ibam (No. 72)
One atom of each set of equivalent atoms:
1 Ac 0.2344 0.1272 0.0000 x8
2 Al 0.0000 0.5000 0.2500 x4
3 Al 0.1056 0.1347 0.5000 x8
4 Cu 0.0000 0.0000 0.2500 x4
5 Cu 0.0000 0.2758 0.2500 x8
6 Cu 0.1447 0.3865 0.0000 x8

No. 6
Calculated XRD peak list
Compound: Li3Sn4Pd
Radiation: Cu Kα (λ = 1.5418 Å)
Structure: a crystal structure in Alexandria, relaxed with GGA-PBE
Intensities are scaled so that the largest is 100.

Main lines, in order of rising 2θ (15 to 90 degrees two-theta):
| h k l | 2θ/deg | I_rel |
| --- | --- | --- |
| 1 1 0 | 18.7 | 55 |
| 3 1 0 | 21.7 | 100 |
| 5 1 0 | 26.8 | 40 |
| 4 0 -1 | 29.9 | 42 |
| 0 2 0 | 37.1 | 55 |
| 9 1 0 | 40.0 | 57 |
| 5 1 1 | 40.8 | 79 |
| 7 1 -1 | 41.1 | 76 |

Crystal structure
a b c (Å): 23.1173 4.8501 3.2520
angles (deg): 90.00 97.63 90.00
Space group C2/m (No. 12)
One atom of each set of equivalent atoms:
1 Li 0.0000 0.0000 0.0000 x2
2 Li 0.2299 0.5000 0.2416 x4
3 Sn 0.0936 0.5000 0.0889 x4
4 Sn 0.1655 0.0000 0.1530 x4
5 Pd 0.0000 0.5000 0.5000 x2

No. 7
Calculated XRD peak list
Compound: Tb2Y3Zn3
Radiation: Cu Kα (λ = 1.5418 Å)
Structure: a crystal structure in Alexandria, relaxed with GGA-PBE
Intensities are scaled so that the largest is 100.

Main lines, in order of rising 2θ (15 to 90 degrees two-theta):
| h k l | 2θ/deg | I_rel |
| --- | --- | --- |
| 0 1 5 | 26.9 | 10 |
| 0 0 8 | 33.3 | 18 |
| 1 1 4 | 34.5 | 100 |
| 0 2 0 | 34.7 | 28 |
| 0 2 8 | 48.8 | 12 |
| 2 0 0 | 50.5 | 10 |
| 1 3 4 | 62.1 | 18 |
| 2 2 0 | 62.7 | 10 |

Crystal structure
a b c (Å): 3.6149 5.1744 21.5491
angles (deg): 90.00 90.00 90.00
Space group Immm (No. 71)
One atom of each set of equivalent atoms:
1 Tb 0.0000 0.0000 0.2284 x4
2 Y 0.0000 0.0000 0.0000 x2
3 Y 0.0000 0.5000 0.1176 x4
4 Zn 0.0000 0.0000 0.5000 x2
5 Zn 0.0000 0.5000 0.3852 x4

No. 8
Calculated XRD peak list
Compound: PrPu2Cd6
Radiation: Cu Kα (λ = 1.5418 Å)
Structure: a crystal structure in Alexandria, relaxed with GGA-PBE
Intensities are scaled so that the largest is 100.

Main lines, in order of rising 2θ (15 to 90 degrees two-theta):
| h k l | 2θ/deg | I_rel |
| --- | --- | --- |
| 1 1 0 | 19.9 | 14 |
| 1 1 3 | 34.1 | 100 |
| 3 0 0 | 34.9 | 89 |
| 2 2 3 | 49.6 | 35 |
| 4 1 3 | 62.0 | 36 |
| 3 3 0 | 62.5 | 16 |
| 3 0 6 | 68.3 | 24 |
| 5 2 3 | 83.7 | 16 |

Crystal structure
a b c (Å): 8.9160 8.9160 9.7503
angles (deg): 90.00 90.00 120.00
Space group R-3m (No. 166, hexagonal axes)
One atom of each set of equivalent atoms:
1 Pr 0.0000 0.0000 0.0000 x3
2 Pu 0.0000 0.0000 0.3406 x6
3 Cd 0.9999 0.3332 0.1667 x18

No. 9
Calculated XRD peak list
Compound: MgBe5As4
Radiation: Cu Kα (λ = 1.5418 Å)
Structure: a crystal structure in Alexandria, relaxed with GGA-PBE
Intensities are scaled so that the largest is 100.

Main lines, in order of rising 2θ (15 to 90 degrees two-theta):
| h k l | 2θ/deg | I_rel |
| --- | --- | --- |
| 0 2 1 | 27.9 | 90 |
| 2 0 1 | 28.6 | 100 |
| 2 2 0 | 32.5 | 41 |
| 0 0 2 | 33.2 | 22 |
| 2 2 2 | 47.1 | 59 |
| 4 0 0 | 47.4 | 16 |
| 2 4 1 | 54.8 | 22 |
| 4 2 1 | 55.9 | 24 |

Crystal structure
a b c (Å): 7.6657 7.9437 5.3932
angles (deg): 90.00 90.00 90.00
Space group Pmmn (No. 59, origin choice 2)
One atom of each set of equivalent atoms:
1 Mg 0.2500 0.2500 0.1993 x2
2 Be 0.0035 0.0168 0.7508 x8
3 Be 0.2500 0.7500 0.7287 x2
4 As 0.0100 0.7500 0.5017 x4
5 As 0.2500 0.5327 0.9933 x4

No. 10
Calculated XRD peak list
Compound: Pm2MgSe3
Radiation: Cu Kα (λ = 1.5418 Å)
Structure: a crystal structure in Alexandria, relaxed with GGA-PBE
Intensities are scaled so that the largest is 100.

Main lines, in order of rising 2θ (15 to 90 degrees two-theta):
| h k l | 2θ/deg | I_rel |
| --- | --- | --- |
| 0 0 6 | 30.4 | 46 |
| 1 1 0 | 30.8 | 100 |
| 1 0 5 | 33.5 | 30 |
| 1 1 6 | 43.8 | 67 |
| 2 0 0 | 44.1 | 37 |
| 2 0 6 | 54.5 | 35 |
| 3 1 0 | 72.9 | 16 |
| 3 1 6 | 81.0 | 22 |

Crystal structure
a b c (Å): 4.1041 4.1041 17.6479
angles (deg): 90.00 90.00 90.00
Space group I4/mmm (No. 139)
One atom of each set of equivalent atoms:
1 Pm 0.0000 0.0000 0.1751 x4
2 Mg 0.0000 0.0000 0.5000 x2
3 Se 0.0000 0.0000 0.0000 x2
4 Se 0.0000 0.0000 0.3460 x4

No. 11
Calculated XRD peak list
Compound: K2Y2NpSe6
Radiation: Cu Kα (λ = 1.5418 Å)
Structure: a crystal structure in Alexandria, relaxed with GGA-PBE
Intensities are scaled so that the largest is 100.

Main lines, in order of rising 2θ (15 to 90 degrees two-theta):
| h k l | 2θ/deg | I_rel |
| --- | --- | --- |
| 1 3 0 | 25.0 | 19 |
| 2 0 -2 | 28.9 | 50 |
| 1 3 1 | 29.1 | 100 |
| 1 3 2 | 36.6 | 26 |
| 1 3 -3 | 39.5 | 33 |
| 2 0 2 | 39.6 | 17 |
| 0 6 0 | 43.4 | 53 |
| 4 0 0 | 53.1 | 27 |

Crystal structure
a b c (Å): 7.2267 12.4952 8.2228
angles (deg): 90.00 107.29 90.00
Space group C2/m (No. 12)
One atom of each set of equivalent atoms:
1 K 0.0000 0.1685 0.0000 x4
2 Y 0.0000 0.3334 0.5000 x4
3 Np 0.0000 0.0000 0.5000 x2
4 Se 0.2317 0.1646 0.7007 x8
5 Se 0.2400 0.5000 0.7001 x4

No. 12
Calculated XRD peak list
Compound: In10Bi3Pb3
Radiation: Cu Kα (λ = 1.5418 Å)
Structure: a crystal structure in Alexandria, relaxed with GGA-PBE
Intensities are scaled so that the largest is 100.

Main lines, in order of rising 2θ (15 to 90 degrees two-theta):
| h k l | 2θ/deg | I_rel |
| --- | --- | --- |
| 1 1 1 | 23.6 | 25 |
| 2 1 0 | 28.5 | 25 |
| 2 1 1 | 32.1 | 100 |
| 3 0 0 | 32.4 | 22 |
| 1 1 2 | 34.8 | 43 |
| 2 2 1 | 40.5 | 21 |
| 2 1 3 | 53.6 | 23 |
| 5 0 2 | 63.9 | 29 |

Crystal structure
a b c (Å): 9.5639 9.5639 6.1206
angles (deg): 90.00 90.00 120.00
Space group P-62m (No. 189)
One atom of each set of equivalent atoms:
1 In 0.0000 0.2086 0.0000 x3
2 In 0.0000 0.7903 0.5000 x3
3 In 0.3333 0.6667 0.2509 x4
4 Bi 0.0000 0.5916 0.0000 x3
5 Pb 0.0000 0.3980 0.5000 x3

No. 13
Calculated XRD peak list
Compound: K3ReClF6
Radiation: Cu Kα (λ = 1.5418 Å)
Structure: a crystal structure in Alexandria, relaxed with GGA-PBE
Intensities are scaled so that the largest is 100.

Main lines, in order of rising 2θ (15 to 90 degrees two-theta):
| h k l | 2θ/deg | I_rel |
| --- | --- | --- |
| 1 1 1 | 20.9 | 100 |
| 2 0 0 | 21.2 | 61 |
| 2 0 1 | 25.8 | 95 |
| 0 0 2 | 29.3 | 32 |
| 2 2 0 | 30.1 | 62 |
| 3 1 1 | 37.0 | 54 |
| 2 2 2 | 42.6 | 45 |
| 4 2 2 | 57.7 | 32 |

Crystal structure
a b c (Å): 8.3863 8.3863 6.0915
angles (deg): 90.00 90.00 90.00
Space group P4/mbm (No. 127)
One atom of each set of equivalent atoms:
1 K 0.0000 0.0000 0.0000 x2
2 K 0.1818 0.3182 0.5000 x4
3 Re 0.0000 0.5000 0.0000 x2
4 Cl 0.0000 0.0000 0.5000 x2
5 F 0.1130 0.6130 0.2415 x8
6 F 0.1676 0.3324 0.0000 x4